[1]
Sr2CaV2Si4O14: calculated PXRD pattern (Cu Kα (weighted mean of Kα1 and Kα2)), based on DFT lattice parameters and positions (GGA+U).
Intensities are scaled so that the largest is 100.

Structural model:
Cell lengths 7.584, 7.754, 7.754 Å; angles 41.69, 90.00, 90.00 degrees
Fractional coordinates of all 23 atoms:
Sr 0.000 0.000 0.000
Sr 0.500 0.363 0.363
Ca 0.500 0.649 0.649
V 0.000 0.295 0.295
V 0.500 0.069 0.069
Si 0.200 0.575 0.575
Si 0.261 0.802 0.802
Si 0.739 0.802 0.802
Si 0.800 0.575 0.575
O 0.000 0.171 0.171
O 0.000 0.534 0.534
O 0.195 0.096 0.597
O 0.195 0.597 0.096
O 0.213 0.690 0.690
O 0.309 0.304 0.780
O 0.309 0.780 0.304
O 0.500 0.193 0.193
O 0.500 0.808 0.808
O 0.691 0.304 0.780
O 0.691 0.780 0.304
O 0.787 0.690 0.690
O 0.805 0.096 0.597
O 0.805 0.597 0.096

Principal peaks in the range 10° ≤ 2θ ≤ 90°, low angle first:
24.54 deg, I = 95
27.24 deg, I = 88
29.23 deg, I = 100
32.45 deg, I = 56
34.17 deg, I = 64
48.47 deg, I = 54

***

[2]
Li9V5Si10O32: calculated PXRD pattern (Cu Kα (weighted mean of Kα1 and Kα2)), based on DFT lattice parameters and positions (GGA+U).
Intensities are scaled so that the largest is 100.

Structural model:
Cell lengths 8.060, 8.060, 8.111 Å; angles 91.25, 91.25, 89.05 degrees
Fractional coordinates of all 56 atoms:
Li 0.000 0.000 0.000
Li 0.117 0.631 0.878
Li 0.122 0.118 0.366
Li 0.369 0.883 0.122
Li 0.379 0.378 0.623
Li 0.622 0.621 0.377
Li 0.631 0.123 0.883
Li 0.877 0.369 0.117
Li 0.882 0.878 0.634
V 0.004 0.490 0.490
V 0.247 0.753 0.500
V 0.505 0.248 0.248
V 0.510 0.996 0.510
V 0.752 0.495 0.752
Si 0.007 0.240 0.751
Si 0.243 0.505 0.233
Si 0.244 0.255 0.991
Si 0.253 0.005 0.763
Si 0.492 0.508 0.000
Si 0.495 0.757 0.767
Si 0.745 0.756 0.009
Si 0.760 0.993 0.249
Si 0.764 0.236 0.500
Si 0.995 0.747 0.237
O 0.002 0.735 0.464
O 0.020 0.519 0.238
O 0.027 0.258 0.967
O 0.036 0.022 0.751
O 0.221 0.732 0.240
O 0.241 0.240 0.763
O 0.246 0.279 0.212
O 0.250 0.503 0.454
O 0.261 0.039 0.980
O 0.263 0.492 0.007
O 0.265 0.998 0.536
O 0.268 0.779 0.760
O 0.469 0.506 0.222
O 0.479 0.286 0.997
O 0.481 0.980 0.762
O 0.494 0.531 0.778
O 0.497 0.750 0.546
O 0.508 0.737 0.993
O 0.533 0.005 0.259
O 0.540 0.244 0.494
O 0.714 0.521 0.003
O 0.721 0.754 0.788
O 0.742 0.973 0.033
O 0.756 0.012 0.479
O 0.756 0.460 0.506
O 0.760 0.759 0.237
O 0.763 0.218 0.273
O 0.782 0.237 0.727
O 0.961 0.739 0.020
O 0.978 0.964 0.249
O 0.988 0.244 0.521
O 0.995 0.467 0.741

Principal peaks in the range 10° ≤ 2θ ≤ 90°, low angle first:
18.66 deg, I = 55
19.17 deg, I = 100
44.71 deg, I = 29
45.01 deg, I = 58
64.52 deg, I = 16
66.10 deg, I = 16

***

[3]
Li2V3O6: calculated PXRD pattern (Cu Kα (weighted mean of Kα1 and Kα2)), based on DFT lattice parameters and positions (GGA+U).
Intensities are scaled so that the largest is 100.

Structural model:
Cell lengths 2.988, 7.888, 10.006 Å; angles 92.51, 98.31, 100.52 degrees
Fractional coordinates of all 22 atoms:
Li 0.000 0.000 0.000
Li 0.182 0.853 0.504
Li 0.495 0.489 0.499
Li 0.682 0.362 0.003
V 0.090 0.428 0.752
V 0.263 0.262 0.261
V 0.415 0.092 0.737
V 0.597 0.928 0.252
V 0.764 0.761 0.767
V 0.909 0.591 0.242
O 0.039 0.225 0.855
O 0.140 0.629 0.648
O 0.217 0.031 0.358
O 0.298 0.463 0.138
O 0.378 0.895 0.865
O 0.484 0.318 0.645
O 0.529 0.717 0.357
O 0.643 0.137 0.145
O 0.695 0.536 0.859
O 0.801 0.957 0.639
O 0.878 0.389 0.365
O 0.970 0.823 0.147

Principal peaks in the range 10° ≤ 2θ ≤ 90°, low angle first:
17.97 deg, I = 100
35.04 deg, I = 12
35.32 deg, I = 23
42.29 deg, I = 24
42.66 deg, I = 23
42.97 deg, I = 22

***

[4]
Li2V3SnO8: calculated PXRD pattern (Cu Kα (weighted mean of Kα1 and Kα2)), based on DFT lattice parameters and positions (GGA+U).
Intensities are scaled so that the largest is 100.

Structural model:
Cell lengths 6.005, 6.010, 10.794 Å; angles 74.09, 74.36, 60.57 degrees
Fractional coordinates of all 28 atoms:
Li 0.059 0.059 0.314
Li 0.431 0.445 0.181
Li 0.569 0.555 0.819
Li 0.941 0.941 0.686
V 0.000 0.000 0.000
V 0.000 0.500 0.000
V 0.000 0.500 0.500
V 0.500 0.000 0.000
V 0.500 0.000 0.500
V 0.500 0.500 0.500
Sn 0.259 0.246 0.750
Sn 0.741 0.754 0.250
O 0.089 0.647 0.119
O 0.138 0.132 0.100
O 0.147 0.598 0.615
O 0.155 0.132 0.617
O 0.371 0.375 0.401
O 0.373 0.345 0.886
O 0.374 0.896 0.885
O 0.395 0.848 0.384
O 0.605 0.152 0.616
O 0.626 0.104 0.115
O 0.627 0.655 0.114
O 0.629 0.625 0.599
O 0.845 0.868 0.383
O 0.853 0.402 0.385
O 0.862 0.868 0.900
O 0.911 0.353 0.881

Principal peaks in the range 10° ≤ 2θ ≤ 90°, low angle first:
17.92 deg, I = 100
18.01 deg, I = 48
34.49 deg, I = 18
41.64 deg, I = 25
41.78 deg, I = 25
42.15 deg, I = 24

***

[5]
Dy2WO6: calculated PXRD pattern (Cu Kα (weighted mean of Kα1 and Kα2)), based on DFT lattice parameters and positions (GGA+U).
Intensities are scaled so that the largest is 100.

Structural model:
Cell lengths 9.894, 9.894, 5.408 Å; angles 104.18, 104.18, 68.41 degrees
Fractional coordinates of all 36 atoms:
Dy 0.056 0.285 0.883
Dy 0.105 0.895 0.750
Dy 0.285 0.056 0.383
Dy 0.366 0.634 0.250
Dy 0.634 0.366 0.750
Dy 0.715 0.944 0.617
Dy 0.895 0.105 0.250
Dy 0.944 0.715 0.117
W 0.200 0.494 0.566
W 0.494 0.200 0.066
W 0.506 0.800 0.934
W 0.800 0.506 0.434
O 0.061 0.473 0.261
O 0.075 0.107 0.078
O 0.107 0.075 0.578
O 0.160 0.688 0.421
O 0.176 0.620 0.885
O 0.216 0.316 0.647
O 0.312 0.840 0.079
O 0.316 0.216 0.147
O 0.380 0.824 0.615
O 0.389 0.455 0.520
O 0.455 0.389 0.020
O 0.473 0.061 0.761
O 0.527 0.939 0.239
O 0.545 0.611 0.980
O 0.611 0.545 0.480
O 0.620 0.176 0.385
O 0.684 0.784 0.853
O 0.688 0.160 0.921
O 0.784 0.684 0.353
O 0.824 0.380 0.115
O 0.840 0.312 0.579
O 0.893 0.925 0.422
O 0.925 0.893 0.922
O 0.939 0.527 0.739

Principal peaks in the range 10° ≤ 2θ ≤ 90°, low angle first:
28.34 deg, I = 100
29.06 deg, I = 86
32.19 deg, I = 23
33.15 deg, I = 22
46.88 deg, I = 24
47.84 deg, I = 24

***

[6]
Mn3H24O12F8: calculated PXRD pattern (Cu Kα (weighted mean of Kα1 and Kα2)), based on DFT lattice parameters and positions (GGA+U).
Intensities are scaled so that the largest is 100.

Structural model:
Cell lengths 6.275, 8.998, 9.408 Å; angles 110.61, 103.36, 106.90 degrees
Fractional coordinates of all 47 atoms:
Mn 0.000 0.000 0.000
Mn 0.150 0.696 0.378
Mn 0.850 0.304 0.622
H 0.026 0.003 0.300
H 0.103 0.321 0.987
H 0.117 0.877 0.709
H 0.197 0.363 0.175
H 0.215 0.442 0.524
H 0.264 0.611 0.957
H 0.322 0.360 0.634
H 0.356 0.111 0.573
H 0.386 0.910 0.070
H 0.449 0.086 0.226
H 0.464 0.299 0.019
H 0.489 0.762 0.235
H 0.511 0.238 0.765
H 0.536 0.701 0.981
H 0.551 0.914 0.774
H 0.614 0.090 0.930
H 0.644 0.889 0.427
H 0.678 0.640 0.366
H 0.736 0.389 0.043
H 0.785 0.558 0.476
H 0.803 0.637 0.825
H 0.883 0.123 0.291
H 0.897 0.679 0.013
H 0.974 0.997 0.700
O 0.034 0.942 0.765
O 0.183 0.285 0.064
O 0.211 0.417 0.618
O 0.343 0.011 0.110
O 0.415 0.715 0.030
O 0.482 0.228 0.652
O 0.518 0.772 0.348
O 0.585 0.285 0.970
O 0.657 0.989 0.890
O 0.789 0.583 0.382
O 0.817 0.715 0.936
O 0.966 0.058 0.235
F 0.002 0.394 0.851
F 0.143 0.916 0.409
F 0.182 0.485 0.352
F 0.296 0.792 0.607
F 0.704 0.208 0.393
F 0.818 0.515 0.648
F 0.857 0.084 0.591
F 0.998 0.606 0.149

Principal peaks in the range 10° ≤ 2θ ≤ 90°, low angle first:
15.90 deg, I = 100
18.40 deg, I = 62
19.08 deg, I = 84
19.48 deg, I = 71
20.64 deg, I = 73
29.77 deg, I = 59

***

[7]
LiNiP4O12: calculated PXRD pattern (Cu Kα (weighted mean of Kα1 and Kα2)), based on DFT lattice parameters and positions (GGA+U).
Intensities are scaled so that the largest is 100.

Structural model:
Cell lengths 8.854, 8.854, 9.724 Å; angles 121.08, 121.08, 49.46 degrees
Fractional coordinates of all 36 atoms:
Li 0.169 0.831 0.750
Li 0.831 0.169 0.250
Ni 0.290 0.710 0.250
Ni 0.710 0.290 0.750
P 0.029 0.688 0.894
P 0.281 0.429 0.338
P 0.312 0.971 0.606
P 0.429 0.281 0.838
P 0.571 0.719 0.162
P 0.688 0.029 0.394
P 0.719 0.571 0.662
P 0.971 0.312 0.106
O 0.009 0.767 0.780
O 0.050 0.809 0.080
O 0.155 0.342 0.159
O 0.158 0.596 0.458
O 0.191 0.950 0.420
O 0.227 0.458 0.902
O 0.233 0.991 0.720
O 0.342 0.155 0.659
O 0.389 0.471 0.290
O 0.404 0.842 0.042
O 0.458 0.227 0.402
O 0.471 0.389 0.790
O 0.529 0.611 0.210
O 0.542 0.773 0.598
O 0.596 0.158 0.958
O 0.611 0.529 0.710
O 0.658 0.845 0.341
O 0.767 0.009 0.280
O 0.773 0.542 0.098
O 0.809 0.050 0.580
O 0.842 0.404 0.542
O 0.845 0.658 0.841
O 0.950 0.191 0.920
O 0.991 0.233 0.220

Principal peaks in the range 10° ≤ 2θ ≤ 90°, low angle first:
15.04 deg, I = 100
18.26 deg, I = 45
20.45 deg, I = 59
23.18 deg, I = 74
26.52 deg, I = 81
32.06 deg, I = 53